(1)
The following is a simulated XRD peak list of Tl2In4Bi5. It was derived from the PBE geometry in Alexandria, using Cu Kα, 1.54184 Å.
Lines closer than 0.1° are merged.

Principal peaks in the range 5° ≤ 2θ ≤ 70°, in order of falling intensity:
2θ 32.2, 2.781 Å, intensity 100.0; 2θ 31.6, 2.828 Å, intensity 84.8; 2θ 31.3, 2.858 Å, intensity 75.7; 2θ 30.1, 2.968 Å, intensity 38.5; 2θ 33.5, 2.679 Å, intensity 35.3; 2θ 34.7, 2.583 Å, intensity 33.5

Atomic structure:
```
Tl2In4Bi5
1.0
5.558 -3.564 0.000
5.558 3.564 0.000
-0.293 0.000 8.905
Tl In Bi
2 4 5
Direct
0.126 0.126 0.130
0.874 0.874 0.870
0.304 0.304 0.528
0.371 0.371 0.881
0.629 0.629 0.119
0.696 0.696 0.472
0.000 0.000 0.500
0.142 0.621 0.228
0.379 0.858 0.772
0.621 0.142 0.228
0.858 0.379 0.772
```

=====

(2)
The following is a simulated XRD peak list of DyReB4. It was derived from the PBE geometry in Alexandria, using Cu Kα, 1.54184 Å.
Lines closer than 0.1° are merged.

Principal peaks in the range 5° ≤ 2θ ≤ 70°, in order of falling intensity:
2θ 39.9, 2.259 Å, intensity 100.0; 2θ 24.6, 3.618 Å, intensity 96.8; 2θ 30.9, 2.892 Å, intensity 84.3; 2θ 45.9, 1.978 Å, intensity 45.5; 2θ 38.1, 2.362 Å, intensity 33.5; 2θ 42.8, 2.113 Å, intensity 32.3

Atomic structure:
```
DyReB4
1.0
5.976 0.000 0.000
0.000 11.563 0.000
0.000 0.000 3.618
Dy Re B
4 4 16
Direct
0.127 0.150 0.000
0.373 0.650 0.000
0.627 0.350 0.000
0.873 0.850 0.000
0.133 0.412 0.000
0.367 0.912 0.000
0.633 0.088 0.000
0.867 0.588 0.000
0.023 0.692 0.500
0.114 0.547 0.500
0.136 0.969 0.500
0.213 0.815 0.500
0.287 0.315 0.500
0.364 0.469 0.500
0.386 0.047 0.500
0.477 0.192 0.500
0.523 0.808 0.500
0.614 0.953 0.500
0.636 0.531 0.500
0.713 0.685 0.500
0.787 0.185 0.500
0.864 0.031 0.500
0.886 0.453 0.500
0.977 0.308 0.500
```

=====

(3)
The following is a simulated XRD peak list of Hf2Co5Ge3H2. It was derived from the PBE geometry in Alexandria, using Cu Kα, 1.54184 Å.
Lines closer than 0.1° are merged.

Principal peaks in the range 5° ≤ 2θ ≤ 70°, in order of falling intensity:
2θ 43.6, 2.075 Å, intensity 100.0; 2θ 49.1, 1.855 Å, intensity 67.1; 2θ 35.3, 2.541 Å, intensity 57.1; 2θ 39.4, 2.288 Å, intensity 49.6; 2θ 32.7, 2.742 Å, intensity 40.6; 2θ 34.2, 2.623 Å, intensity 37.0

Atomic structure:
```
Hf2Co5Ge3H2
1.0
-1.855 1.855 10.174
1.855 -1.855 10.174
1.855 1.855 -10.174
Hf Co Ge H
2 5 3 2
Direct
0.200 0.200 0.000
0.800 0.800 0.000
0.000 0.000 0.000
0.086 0.586 0.500
0.414 0.914 0.500
0.586 0.086 0.500
0.914 0.414 0.500
0.337 0.337 0.000
0.500 0.500 0.000
0.663 0.663 0.000
0.085 0.085 0.000
0.915 0.915 0.000
```

=====

(4)
The following is a simulated XRD peak list of AcPm4Sm. It was derived from the PBE geometry in Alexandria, using Cu Kα, 1.54184 Å.
Lines closer than 0.1° are merged.

Principal peaks in the range 5° ≤ 2θ ≤ 70°, in order of falling intensity:
2θ 29.5, 3.023 Å, intensity 100.0; 2θ 34.1, 2.630 Å, intensity 34.2; 2θ 49.3, 1.847 Å, intensity 24.3; 2θ 34.6, 2.595 Å, intensity 16.6; 2θ 58.2, 1.585 Å, intensity 14.9; 2θ 58.9, 1.569 Å, intensity 14.4

Atomic structure:
```
AcPm4Sm
1.0
3.724 0.000 0.000
0.000 5.190 0.000
0.000 0.000 11.141
Ac Pm Sm
1 4 1
Direct
0.000 0.000 0.000
0.000 0.000 0.337
0.000 0.000 0.663
0.500 0.500 0.175
0.500 0.500 0.825
0.500 0.500 0.500
```